[1]
# Tb2Pm4ErTh
Simulated powder diffraction line list, Cu Kα, 1.54184 Å. Input: a crystal structure in Alexandria, relaxed with PBE.

Largest 10 diffraction maxima, in order of rising 2θ, 10 to 80 degrees two-theta:
| index | two_theta | d (Å) | I_rel |
| --- | --- | --- | --- |
| 2 0 0 | 29.64 | 3.014 | 627 |
| 1 1 2 | 32.33 | 2.769 | 1000 |
| 2 2 0 | 42.41 | 2.131 | 239 |
| 0 0 4 | 50.09 | 1.821 | 74 |
| 3 1 2 | 54.32 | 1.689 | 464 |
| 2 0 4 | 59.29 | 1.559 | 178 |
| 4 0 0 | 61.53 | 1.507 | 80 |
| 2 2 4 | 67.67 | 1.385 | 120 |
| 4 2 0 | 69.77 | 1.348 | 110 |
| 3 3 2 | 71.24 | 1.324 | 103 |

Cell and atoms:
Cell lengths 6.0265, 6.0298, 7.2845 Å; angles 90.00, 90.06, 90.00 degrees
Space group P2/m (No. 10)
One atom of each set of equivalent atoms:
1 Tb 0.0000 0.0000 0.0000
2 Tb 0.5000 0.5000 0.5000
3 Pm 0.0002 0.5000 0.2482
4 Pm 0.4993 0.0000 0.2476
5 Er 0.0000 0.0000 0.5000
6 Th 0.5000 0.5000 0.0000


[2]
# TbPmEr2Tl2
Simulated powder diffraction line list, Cu Kα, 1.54184 Å. Input: a crystal structure in Alexandria, relaxed with PBE.

Largest 10 diffraction maxima, in order of rising 2θ, 10 to 80 degrees two-theta:
| index | two_theta | d (Å) | I_rel |
| --- | --- | --- | --- |
| 0 3 1 | 29.78 | 3.000 | 167 |
| 1 0 2 | 31.60 | 2.832 | 546 |
| 0 2 2 | 31.81 | 2.813 | 231 |
| 1 3 0 | 31.97 | 2.799 | 1000 |
| 1 1 2 | 32.87 | 2.725 | 793 |
| 1 3 1 | 34.66 | 2.588 | 315 |
| 2 0 0 | 35.04 | 2.561 | 575 |
| 0 3 2 | 37.75 | 2.383 | 240 |
| 2 3 2 | 52.45 | 1.744 | 188 |
| 3 3 0 | 60.94 | 1.520 | 161 |

Cell and atoms:
Cell lengths 5.1211, 10.0287, 6.7966 Å; angles 90.00, 90.00, 90.00 degrees
Space group Pmc2_1 (No. 26)
One atom of each set of equivalent atoms:
1 Tb 0.0000 0.1906 0.0000
2 Pm 0.5000 0.0409 0.2767
3 Er 0.0000 0.4582 0.3675
4 Er 0.5000 0.3177 0.6508
5 Tl 0.0000 0.1407 0.5349
6 Tl 0.5000 0.3690 0.1142